Pm12PrDy6: theoretical powder diffraction line list (copper Kα), based on a GGA-PBE-relaxed structure.

Atomic structure:
Unit cell a=8.664 b=8.664 c=8.664 alpha=88.91 beta=88.91 gamma=88.91
Element x y z (fractional)
Pm  0.016  0.361  0.199
Pm  0.199  0.016  0.361
Pm  0.221  0.567  0.462
Pm  0.361  0.199  0.016
Pm  0.433  0.538  0.779
Pm  0.462  0.221  0.567
Pm  0.538  0.779  0.433
Pm  0.567  0.462  0.221
Pm  0.639  0.801  0.984
Pm  0.779  0.433  0.538
Pm  0.801  0.984  0.639
Pm  0.984  0.639  0.801
Pr  0.000  0.000  0.000
Dy  0.098  0.259  0.697
Dy  0.259  0.697  0.098
Dy  0.303  0.902  0.741
Dy  0.697  0.098  0.259
Dy  0.741  0.303  0.902
Dy  0.902  0.741  0.303

The 10 most intense peaks (2θ = 5–70°), in order of falling intensity:
d_spacing  I (rel.)
2.863  100
2.754  66
2.936  40
2.724  29
2.887  24
1.683  19
2.607  17
2.039  13
1.606  13
1.598  12



Pm6Pr4Dy: theoretical powder diffraction line list (copper Kα), based on a GGA-PBE-relaxed structure.

Atomic structure:
Unit cell a=9.779 b=9.779 c=9.779 alpha=139.23 beta=139.23 gamma=59.02
Element x y z (fractional)
Pm  0.000  0.500  0.500
Pm  0.054  0.705  0.000
Pm  0.295  0.295  0.349
Pm  0.500  0.000  0.500
Pm  0.705  0.054  0.000
Pm  0.946  0.946  0.651
Pr  0.133  0.133  0.620
Pr  0.487  0.867  0.000
Pr  0.513  0.513  0.380
Pr  0.867  0.487  0.000
Dy  0.500  0.500  0.000

The 10 most intense peaks (2θ = 5–70°), in order of falling intensity:
d_spacing  I (rel.)
2.999  100
2.659  69
3.162  64
3.189  48
3.045  35
1.606  31
2.408  29
1.644  29
2.444  29
2.270  28